No. 1
# MnHO3
Theoretical powder diffraction line list, a wavelength of 1.5418 Å. Input: a crystal structure in Alexandria, relaxed with GGA+U.
Intensities are scaled so that the largest is 100.

abc: 3.813 3.813 3.813
angles: 83.23 83.23 83.23
Positions (direct):
Mn (0.000, 0.000, 0.000)
H (0.718, 0.718, 0.718)
O (0.486, 0.932, 0.932)
O (0.932, 0.486, 0.932)
O (0.932, 0.932, 0.486)

Top 8 peaks for 2θ from 10° to 90°, low angle first:
| d/Å | two_theta | intensity |
| --- | --- | --- |
| 3.765 | 23.63 | 100.0 |
| 2.815 | 31.79 | 11.8 |
| 2.532 | 35.45 | 11.9 |
| 1.883 | 48.34 | 22.1 |
| 1.760 | 51.96 | 16.9 |
| 1.693 | 54.17 | 6.3 |
| 1.617 | 56.94 | 15.6 |
| 1.511 | 61.36 | 6.8 |

***

No. 2
# MnHO2
Theoretical powder diffraction line list, a wavelength of 1.5418 Å. Input: a crystal structure in Alexandria, relaxed with GGA+U.
Intensities are scaled so that the largest is 100.

abc: 2.959 5.194 4.921
angles: 90.00 90.00 90.00
Positions (direct):
Mn (0.000, 0.147, 0.000)
Mn (0.500, 0.853, 0.500)
H (0.000, 0.421, 0.497)
H (0.500, 0.579, 0.997)
O (0.000, 0.096, 0.466)
O (0.000, 0.613, 0.476)
O (0.500, 0.387, 0.976)
O (0.500, 0.904, 0.966)

Top 8 peaks for 2θ from 10° to 90°, low angle first:
| d/Å | two_theta | intensity |
| --- | --- | --- |
| 5.194 | 17.07 | 67.4 |
| 3.572 | 24.93 | 100.0 |
| 2.571 | 34.90 | 37.7 |
| 2.461 | 36.52 | 67.6 |
| 2.279 | 39.55 | 31.2 |
| 1.952 | 46.53 | 55.7 |
| 1.778 | 51.40 | 22.5 |
| 1.529 | 60.55 | 42.8 |

***

No. 3
# MnHO2
Theoretical powder diffraction line list, a wavelength of 1.5418 Å. Input: a crystal structure in Alexandria, relaxed with GGA+U.
Intensities are scaled so that the largest is 100.

abc: 6.080 6.084 9.002
angles: 90.00 90.00 90.00
Positions (direct):
Mn (0.000, 0.030, 0.250)
Mn (0.000, 0.530, 0.250)
Mn (0.219, 0.250, 0.500)
Mn (0.281, 0.750, 0.000)
Mn (0.500, 0.470, 0.750)
Mn (0.500, 0.970, 0.750)
Mn (0.719, 0.250, 0.500)
Mn (0.781, 0.750, 0.000)
H (0.038, 0.174, 0.990)
H (0.074, 0.216, 0.761)
H (0.426, 0.784, 0.261)
H (0.462, 0.826, 0.490)
H (0.538, 0.326, 0.010)
H (0.574, 0.284, 0.239)
H (0.926, 0.716, 0.739)
H (0.962, 0.674, 0.510)
O (0.028, 0.025, 0.029)
O (0.029, 0.554, 0.029)
O (0.196, 0.278, 0.279)
O (0.224, 0.224, 0.722)
O (0.276, 0.776, 0.222)
O (0.304, 0.722, 0.779)
O (0.471, 0.446, 0.529)
O (0.472, 0.975, 0.529)
O (0.528, 0.475, 0.971)
O (0.529, 0.946, 0.971)
O (0.696, 0.222, 0.721)
O (0.724, 0.276, 0.278)
O (0.776, 0.724, 0.778)
O (0.804, 0.778, 0.221)
O (0.971, 0.054, 0.471)
O (0.972, 0.525, 0.471)

Top 8 peaks for 2θ from 10° to 90°, low angle first:
| d/Å | two_theta | intensity |
| --- | --- | --- |
| 5.040 | 17.60 | 100.0 |
| 2.691 | 33.30 | 7.8 |
| 2.604 | 34.45 | 27.3 |
| 2.520 | 35.63 | 10.5 |
| 2.250 | 40.07 | 18.6 |
| 2.150 | 42.02 | 29.0 |
| 1.555 | 59.45 | 15.0 |
| 1.501 | 61.81 | 8.1 |

***

No. 4
# Mn3HO6
Theoretical powder diffraction line list, a wavelength of 1.5418 Å. Input: a crystal structure in Alexandria, relaxed with GGA+U.
Intensities are scaled so that the largest is 100.

abc: 7.249 7.249 4.623
angles: 92.20 92.20 23.87
Positions (direct):
Mn (0.000, 0.000, 0.000)
Mn (0.307, 0.307, 0.045)
Mn (0.653, 0.653, 0.519)
H (0.884, 0.884, 0.468)
O (0.090, 0.090, 0.704)
O (0.216, 0.216, 0.337)
O (0.424, 0.424, 0.820)
O (0.554, 0.554, 0.207)
O (0.756, 0.756, 0.830)
O (0.879, 0.879, 0.255)

Top 8 peaks for 2θ from 10° to 90°, low angle first:
| d/Å | two_theta | intensity |
| --- | --- | --- |
| 3.941 | 22.56 | 59.4 |
| 3.802 | 23.40 | 100.0 |
| 2.866 | 31.21 | 79.7 |
| 2.760 | 32.44 | 47.1 |
| 2.531 | 35.46 | 70.7 |
| 2.485 | 36.14 | 46.7 |
| 2.200 | 41.02 | 54.1 |
| 1.689 | 54.33 | 46.9 |

***

Question: Which formula does entry 2 have?
Answer: MnHO2

***

Repeat the fourth record exactly.
# Mn3HO6
Theoretical powder diffraction line list, a wavelength of 1.5418 Å. Input: a crystal structure in Alexandria, relaxed with GGA+U.
Intensities are scaled so that the largest is 100.

abc: 7.249 7.249 4.623
angles: 92.20 92.20 23.87
Positions (direct):
Mn (0.000, 0.000, 0.000)
Mn (0.307, 0.307, 0.045)
Mn (0.653, 0.653, 0.519)
H (0.884, 0.884, 0.468)
O (0.090, 0.090, 0.704)
O (0.216, 0.216, 0.337)
O (0.424, 0.424, 0.820)
O (0.554, 0.554, 0.207)
O (0.756, 0.756, 0.830)
O (0.879, 0.879, 0.255)

Top 8 peaks for 2θ from 10° to 90°, low angle first:
| d/Å | two_theta | intensity |
| --- | --- | --- |
| 3.941 | 22.56 | 59.4 |
| 3.802 | 23.40 | 100.0 |
| 2.866 | 31.21 | 79.7 |
| 2.760 | 32.44 | 47.1 |
| 2.531 | 35.46 | 70.7 |
| 2.485 | 36.14 | 46.7 |
| 2.200 | 41.02 | 54.1 |
| 1.689 | 54.33 | 46.9 |